# Na4LiNi5O10
Calculated X-ray powder pattern, a wavelength of 1.5418 Å. Input: a DFT-relaxed cell (GGA+U, the Materials Project).

Structure:
abc: 22.6426 2.8629 6.1684
angles: 90.00 95.25 90.00
Space group C2/m (No. 12)
Asymmetric unit:
Na  0.0977  0.0000  0.2985 x4
Na  0.1993  0.5000  0.0990 x4
Li  0.0000  0.5000  0.5000 x2
Ni  0.0000  0.5000  0.0000 x2
Ni  0.0974  0.0000  0.7942 x4
Ni  0.1988  0.5000  0.5969 x4
O  0.0034  0.0000  0.7850 x4
O  0.0953  0.5000  0.0014 x4
O  0.0989  0.5000  0.5885 x4
O  0.1946  0.0000  0.8019 x4
O  0.2029  0.0000  0.3930 x4

Most intense lines, 2θ from 10° to 80°, in order of rising 2θ:
2θ = 17.06°, I 1000, hkl 2 0 1
2θ = 34.51°, I 189, hkl 4 0 2
2θ = 36.04°, I 153, hkl 6 0 -2
2θ = 37.20°, I 254, hkl 5 1 0
2θ = 39.99°, I 495, hkl 10 0 0
2θ = 43.13°, I 742, hkl 1 1 -2
2θ = 59.25°, I 236, hkl 9 1 2
2θ = 61.28°, I 234, hkl 11 1 -2